Entry 1:
PmGdHg2: calculated powder diffractogram (CuKα), based on a GGA-PBE-relaxed structure.
Kinematic intensities with the Lorentz-polarization factor, no thermal factor.

Largest 10 diffraction maxima, by angle, 10 to 90 degrees two-theta:
- d 3.793, 2θ = 23.45°, I 2, hkl 2 0 0
- d 2.682, 2θ = 33.40°, I 100, hkl 2 2 0
- d 2.190, 2θ = 41.22°, I 1, hkl 2 2 2
- d 1.897, 2θ = 47.96°, I 18, hkl 4 0 0
- d 1.697, 2θ = 54.05°, I 1, hkl 4 2 0
- d 1.549, 2θ = 59.71°, I 38, hkl 4 2 2
- d 1.341, 2θ = 70.17°, I 12, hkl 4 4 0
- d 1.264, 2θ = 75.13°, I 1, hkl 6 0 0
- d 1.200, 2θ = 79.98°, I 17, hkl 6 2 0
- d 1.095, 2θ = 89.49°, I 4, hkl 4 4 4

Atomic structure:
a = 7.5870 Å, b = 7.5870 Å, c = 7.5870 Å
α = 90.00°, β = 90.00°, γ = 90.00°
Space group Fm-3m (No. 225)
One atom of each set of equivalent atoms:
Pm1 0.0000 0.0000 0.0000 x4
Gd1 0.0000 0.0000 0.5000 x4
Hg1 0.2500 0.2500 0.2500 x8

Entry 2:
Gd3Ho: calculated powder diffractogram (CuKα), based on a GGA-PBE-relaxed structure.
Kinematic intensities with the Lorentz-polarization factor, no thermal factor.

Largest 10 diffraction maxima, by angle, 10 to 90 degrees two-theta:
- d 2.903, 2θ = 30.80°, I 100, hkl 1 1 2
- d 2.522, 2θ = 35.60°, I 17, hkl 0 0 4
- d 2.510, 2θ = 35.77°, I 34, hkl 2 0 0
- d 1.779, 2θ = 51.36°, I 24, hkl 2 0 4
- d 1.775, 2θ = 51.48°, I 12, hkl 2 2 0
- d 1.519, 2θ = 60.98°, I 14, hkl 1 1 6
- d 1.514, 2θ = 61.20°, I 28, hkl 3 1 2
- d 1.452, 2θ = 64.16°, I 12, hkl 2 2 4
- d 1.154, 2θ = 83.80°, I 12, hkl 3 1 6
- d 1.123, 2θ = 86.68°, I 11, hkl 4 2 0

Atomic structure:
a = 5.0209 Å, b = 5.0209 Å, c = 10.0871 Å
α = 90.00°, β = 90.00°, γ = 90.00°
Space group I4/mmm (No. 139)
One atom of each set of equivalent atoms:
Gd1 0.0000 0.0000 0.0000 x2
Gd2 0.0000 0.5000 0.2500 x4
Ho1 0.0000 0.0000 0.5000 x2

Entry 3:
GdHo3: calculated powder diffractogram (CuKα), based on a GGA-PBE-relaxed structure.
Kinematic intensities with the Lorentz-polarization factor, no thermal factor.

Largest 10 diffraction maxima, by angle, 10 to 90 degrees two-theta:
- d 2.905, 2θ = 30.78°, I 100, hkl 1 1 2
- d 2.539, 2θ = 35.36°, I 17, hkl 0 0 4
- d 2.504, 2θ = 35.86°, I 33, hkl 2 0 0
- d 1.783, 2θ = 51.24°, I 24, hkl 2 0 4
- d 1.771, 2θ = 51.62°, I 12, hkl 2 2 0
- d 1.527, 2θ = 60.64°, I 15, hkl 1 1 6
- d 1.512, 2θ = 61.31°, I 28, hkl 3 1 2
- d 1.452, 2θ = 64.12°, I 12, hkl 2 2 4
- d 1.156, 2θ = 83.62°, I 12, hkl 3 1 6
- d 1.150, 2θ = 84.21°, I 6, hkl 3 3 2

Atomic structure:
a = 5.0084 Å, b = 5.0084 Å, c = 10.1545 Å
α = 90.00°, β = 90.00°, γ = 90.00°
Space group I4/mmm (No. 139)
One atom of each set of equivalent atoms:
Gd1 0.0000 0.0000 0.0000 x2
Ho1 0.0000 0.0000 0.5000 x2
Ho2 0.0000 0.5000 0.2500 x4

Entry 4:
GdI3O11: calculated powder diffractogram (CuKα), based on a GGA-PBE-relaxed structure.
Kinematic intensities with the Lorentz-polarization factor, no thermal factor.

Largest 10 diffraction maxima, by angle, 10 to 90 degrees two-theta:
- d 6.971, 2θ = 12.70°, I 80, hkl 0 1 0
- d 5.948, 2θ = 14.89°, I 100, hkl 1 -1 0
- d 4.156, 2θ = 21.38°, I 52, hkl 1 1 -1
- d 3.777, 2θ = 23.55°, I 77, hkl 0 1 2
- d 3.741, 2θ = 23.78°, I 72, hkl 1 1 -2
- d 3.469, 2θ = 25.68°, I 78, hkl -1 2 1
- d 3.458, 2θ = 25.76°, I 74, hkl 1 0 2
- d 3.313, 2θ = 26.92°, I 74, hkl 0 1 -3
- d 3.174, 2θ = 28.12°, I 59, hkl 0 2 -2
- d 3.160, 2θ = 28.24°, I 64, hkl 2 0 -2

Atomic structure:
a = 7.0769 Å, b = 7.5781 Å, c = 10.7561 Å
α = 94.63°, β = 105.48°, γ = 110.39°
Space group P-1 (No. 2)
One atom of each set of equivalent atoms:
Gd1 0.1035 0.4223 0.2894 x2
I1 0.2671 0.7308 0.0453 x2
I2 0.2781 0.3602 0.6619 x2
I3 0.3171 0.8588 0.5737 x2
O1 0.0701 0.6252 0.1298 x2
O2 0.0980 0.7969 0.9114 x2
O3 0.0994 0.8480 0.6387 x2
O4 0.1423 0.7232 0.4073 x2
O5 0.2240 0.1519 0.2758 x2
O6 0.2359 0.5574 0.7476 x2
O7 0.2463 0.2236 0.8877 x2
O8 0.2937 0.4651 0.5151 x2
O9 0.3766 0.1015 0.5357 x2
O10 0.4341 0.5486 0.2483 x2
O11 0.4356 0.9606 0.1524 x2

Entry 5:
Gd3In: calculated powder diffractogram (CuKα), based on a GGA-PBE-relaxed structure.
Kinematic intensities with the Lorentz-polarization factor, no thermal factor.

Largest 10 diffraction maxima, by angle, 10 to 90 degrees two-theta:
- d 4.892, 2θ = 18.13°, I 1, hkl 1 0 0
- d 3.459, 2θ = 25.75°, I 1, hkl 1 1 0
- d 2.824, 2θ = 31.68°, I 100, hkl 1 1 1
- d 2.446, 2θ = 36.74°, I 50, hkl 2 0 0
- d 1.730, 2θ = 52.94°, I 35, hkl 2 2 0
- d 1.475, 2θ = 63.02°, I 41, hkl 3 1 1
- d 1.412, 2θ = 66.17°, I 12, hkl 2 2 2
- d 1.223, 2θ = 78.15°, I 6, hkl 4 0 0
- d 1.122, 2θ = 86.77°, I 18, hkl 3 3 1
- d 1.094, 2θ = 89.62°, I 16, hkl 4 2 0

Atomic structure:
a = 4.8920 Å, b = 4.8920 Å, c = 4.8920 Å
α = 90.00°, β = 90.00°, γ = 90.00°
Space group Pm-3m (No. 221)
One atom of each set of equivalent atoms:
Gd1 0.0000 0.0000 0.5000 x3
In1 0.5000 0.5000 0.5000 x1

Entry 6:
GdIn3: calculated powder diffractogram (CuKα), based on a GGA-PBE-relaxed structure.
Kinematic intensities with the Lorentz-polarization factor, no thermal factor.

Largest 10 diffraction maxima, by angle, 10 to 90 degrees two-theta:
- d 4.662, 2θ = 19.04°, I 2, hkl 1 0 0
- d 3.297, 2θ = 27.05°, I 1, hkl 1 1 0
- d 2.692, 2θ = 33.29°, I 100, hkl 1 1 1
- d 2.331, 2θ = 38.63°, I 50, hkl 2 0 0
- d 2.085, 2θ = 43.40°, I 1, hkl 2 1 0
- d 1.903, 2θ = 47.79°, I 1, hkl 2 1 1
- d 1.648, 2θ = 55.77°, I 33, hkl 2 2 0
- d 1.406, 2θ = 66.52°, I 39, hkl 3 1 1
- d 1.346, 2θ = 69.90°, I 11, hkl 2 2 2
- d 1.166, 2θ = 82.82°, I 5, hkl 4 0 0

Atomic structure:
a = 4.6620 Å, b = 4.6620 Å, c = 4.6620 Å
α = 90.00°, β = 90.00°, γ = 90.00°
Space group Pm-3m (No. 221)
One atom of each set of equivalent atoms:
Gd1 0.0000 0.0000 0.0000 x1
In1 0.0000 0.5000 0.5000 x3

Entry 7:
GdIn: calculated powder diffractogram (CuKα), based on a GGA-PBE-relaxed structure.
Kinematic intensities with the Lorentz-polarization factor, no thermal factor.

Largest 10 diffraction maxima, by angle, 10 to 90 degrees two-theta:
- d 2.747, 2θ = 32.59°, I 56, hkl 1 1 0
- d 2.643, 2θ = 33.91°, I 100, hkl 1 0 1
- d 1.943, 2θ = 46.76°, I 20, hkl 2 0 0
- d 1.803, 2θ = 50.62°, I 8, hkl 0 0 2
- d 1.565, 2θ = 59.01°, I 40, hkl 2 1 1
- d 1.508, 2θ = 61.51°, I 18, hkl 1 1 2
- d 1.322, 2θ = 71.37°, I 11, hkl 2 0 2
- d 1.229, 2θ = 77.73°, I 9, hkl 3 1 0
- d 1.219, 2θ = 78.47°, I 9, hkl 3 0 1
- d 1.148, 2θ = 84.33°, I 7, hkl 1 0 3

Atomic structure:
a = 3.8853 Å, b = 3.8853 Å, c = 3.6064 Å
α = 90.00°, β = 90.00°, γ = 90.00°
Space group P4/mmm (No. 123)
One atom of each set of equivalent atoms:
Gd1 0.0000 0.0000 0.0000 x1
In1 0.5000 0.5000 0.5000 x1

Entry 8:
GdIn: calculated powder diffractogram (CuKα), based on a GGA-PBE-relaxed structure.
Kinematic intensities with the Lorentz-polarization factor, no thermal factor.

Largest 10 diffraction maxima, by angle, 10 to 90 degrees two-theta:
- d 3.827, 2θ = 23.24°, I 2, hkl 1 0 0
- d 2.706, 2θ = 33.10°, I 100, hkl 1 1 0
- d 2.210, 2θ = 40.84°, I 1, hkl 1 1 1
- d 1.914, 2θ = 47.52°, I 18, hkl 2 0 0
- d 1.712, 2θ = 53.54°, I 1, hkl 2 1 0
- d 1.562, 2θ = 59.13°, I 37, hkl 2 1 1
- d 1.353, 2θ = 69.46°, I 11, hkl 2 2 0
- d 1.276, 2θ = 74.36°, I 1, hkl 3 0 0
- d 1.210, 2θ = 79.14°, I 16, hkl 3 1 0
- d 1.105, 2θ = 88.50°, I 4, hkl 2 2 2

Atomic structure:
a = 3.8272 Å, b = 3.8272 Å, c = 3.8272 Å
α = 90.00°, β = 90.00°, γ = 90.00°
Space group Pm-3m (No. 221)
One atom of each set of equivalent atoms:
Gd1 0.0000 0.0000 0.0000 x1
In1 0.5000 0.5000 0.5000 x1

Entry 9:
Gd2MgIn: calculated powder diffractogram (CuKα), based on a GGA-PBE-relaxed structure.
Kinematic intensities with the Lorentz-polarization factor, no thermal factor.

Largest 10 diffraction maxima, by angle, 10 to 90 degrees two-theta:
- d 4.378, 2θ = 20.28°, I 9, hkl 1 1 1
- d 3.792, 2θ = 23.46°, I 16, hkl 2 0 0
- d 2.681, 2θ = 33.42°, I 100, hkl 2 2 0
- d 2.286, 2θ = 39.41°, I 5, hkl 3 1 1
- d 2.189, 2θ = 41.24°, I 5, hkl 2 2 2
- d 1.896, 2θ = 47.99°, I 18, hkl 4 0 0
- d 1.696, 2θ = 54.08°, I 7, hkl 4 2 0
- d 1.548, 2θ = 59.74°, I 37, hkl 4 2 2
- d 1.341, 2θ = 70.21°, I 11, hkl 4 4 0
- d 1.199, 2θ = 80.02°, I 16, hkl 6 2 0

Atomic structure:
a = 7.5834 Å, b = 7.5834 Å, c = 7.5834 Å
α = 90.00°, β = 90.00°, γ = 90.00°
Space group Fm-3m (No. 225)
One atom of each set of equivalent atoms:
Gd1 0.2500 0.2500 0.2500 x8
Mg1 0.0000 0.0000 0.0000 x4
In1 0.0000 0.0000 0.5000 x4

Entry 10:
Gd3InN: calculated powder diffractogram (CuKα), based on a GGA-PBE-relaxed structure.
Kinematic intensities with the Lorentz-polarization factor, no thermal factor.

Largest 10 diffraction maxima, by angle, 10 to 90 degrees two-theta:
- d 4.899, 2θ = 18.11°, I 3, hkl 1 0 0
- d 2.828, 2θ = 31.63°, I 100, hkl 1 1 1
- d 2.449, 2θ = 36.69°, I 55, hkl 2 0 0
- d 2.191, 2θ = 41.20°, I 1, hkl 2 1 0
- d 1.732, 2θ = 52.86°, I 38, hkl 2 2 0
- d 1.477, 2θ = 62.92°, I 42, hkl 3 1 1
- d 1.414, 2θ = 66.07°, I 13, hkl 2 2 2
- d 1.225, 2θ = 78.02°, I 6, hkl 4 0 0
- d 1.124, 2θ = 86.62°, I 18, hkl 3 3 1
- d 1.095, 2θ = 89.46°, I 18, hkl 4 2 0

Atomic structure:
a = 4.8989 Å, b = 4.8989 Å, c = 4.8989 Å
α = 90.00°, β = 90.00°, γ = 90.00°
Space group Pm-3m (No. 221)
One atom of each set of equivalent atoms:
Gd1 0.0000 0.0000 0.5000 x3
In1 0.5000 0.5000 0.5000 x1
N1 0.0000 0.0000 0.0000 x1

Entry 11:
GdInNi4: calculated powder diffractogram (CuKα), based on a GGA-PBE-relaxed structure.
Kinematic intensities with the Lorentz-polarization factor, no thermal factor.

Largest 10 diffraction maxima, by angle, 10 to 90 degrees two-theta:
- d 4.082, 2θ = 21.77°, I 8, hkl 1 1 1
- d 2.500, 2θ = 35.93°, I 56, hkl 2 2 0
- d 2.132, 2θ = 42.40°, I 100, hkl 3 1 1
- d 2.041, 2θ = 44.38°, I 19, hkl 2 2 2
- d 1.622, 2θ = 56.75°, I 2, hkl 3 3 1
- d 1.443, 2θ = 64.57°, I 20, hkl 4 2 2
- d 1.361, 2θ = 69.02°, I 30, hkl 5 1 1
- d 1.250, 2θ = 76.16°, I 22, hkl 4 4 0
- d 1.195, 2θ = 80.34°, I 2, hkl 5 3 1
- d 1.118, 2θ = 87.20°, I 9, hkl 6 2 0

Atomic structure:
a = 7.0704 Å, b = 7.0704 Å, c = 7.0704 Å
α = 90.00°, β = 90.00°, γ = 90.00°
Space group F-43m (No. 216)
One atom of each set of equivalent atoms:
Gd1 0.0000 0.0000 0.0000 x4
In1 0.2500 0.2500 0.2500 x4
Ni1 0.1240 0.1240 0.6240 x16

Entry 12:
Gd11In9Ni4: calculated powder diffractogram (CuKα), based on a GGA-PBE-relaxed structure.
Kinematic intensities with the Lorentz-polarization factor, no thermal factor.

Largest 10 diffraction maxima, by angle, 10 to 90 degrees two-theta:
- d 2.727, 2θ = 32.85°, I 25, hkl 3 3 1
- d 2.607, 2θ = 34.40°, I 100, hkl 4 0 1
- d 2.583, 2θ = 34.72°, I 78, hkl 4 6 0
- d 2.571, 2θ = 34.90°, I 97, hkl 0 6 1
- d 2.538, 2θ = 35.37°, I 26, hkl 2 8 0
- d 2.432, 2θ = 36.95°, I 28, hkl 3 5 1
- d 2.408, 2θ = 37.34°, I 28, hkl 6 2 0
- d 1.834, 2θ = 49.70°, I 31, hkl 0 0 2
- d 1.634, 2θ = 56.32°, I 31, hkl 6 8 1
- d 1.496, 2θ = 62.05°, I 31, hkl 4 6 2

Atomic structure:
a = 14.8202 Å, b = 21.6256 Å, c = 3.6689 Å
α = 90.00°, β = 90.00°, γ = 90.00°
Space group Cmmm (No. 65)
One atom of each set of equivalent atoms:
Gd1 0.0000 0.0000 0.0000 x2
Gd2 0.0000 0.1573 0.0000 x4
Gd3 0.0000 0.3742 0.0000 x4
Gd4 0.1880 0.5000 0.0000 x4
Gd5 0.2468 0.1710 0.0000 x8
In1 0.0000 0.5000 0.5000 x2
In2 0.1025 0.2644 0.5000 x8
In3 0.1488 0.0708 0.5000 x8
Ni1 0.1536 0.3971 0.5000 x8

Entry 13:
GdIn2Ni9: calculated powder diffractogram (CuKα), based on a GGA-PBE-relaxed structure.
Kinematic intensities with the Lorentz-polarization factor, no thermal factor.

Largest 10 diffraction maxima, by angle, 10 to 90 degrees two-theta:
- d 2.605, 2θ = 34.43°, I 25, hkl 3 1 0
- d 2.495, 2θ = 36.00°, I 23, hkl 2 2 1
- d 2.419, 2θ = 37.17°, I 18, hkl 0 0 2
- d 2.293, 2θ = 39.28°, I 100, hkl 3 1 1
- d 2.086, 2θ = 43.39°, I 28, hkl 2 0 2
- d 2.066, 2θ = 43.83°, I 37, hkl 3 2 1
- d 2.022, 2θ = 44.83°, I 68, hkl 2 1 2
- d 1.998, 2θ = 45.40°, I 30, hkl 4 1 0
- d 1.371, 2θ = 68.43°, I 18, hkl 3 1 3
- d 1.343, 2θ = 70.04°, I 16, hkl 5 1 2

Atomic structure:
a = 8.2371 Å, b = 8.2371 Å, c = 4.8373 Å
α = 90.00°, β = 90.00°, γ = 90.00°
Space group P4/mbm (No. 127)
One atom of each set of equivalent atoms:
Gd1 0.0000 0.0000 0.0000 x2
In1 0.1244 0.3756 0.0000 x4
Ni1 0.0000 0.5000 0.5000 x2
Ni2 0.0640 0.2066 0.5000 x8
Ni3 0.1765 0.6765 0.2487 x8

Entry 14:
Gd3InO6: calculated powder diffractogram (CuKα), based on a GGA-PBE-relaxed structure.
Kinematic intensities with the Lorentz-polarization factor, no thermal factor.

Largest 10 diffraction maxima, by angle, 10 to 90 degrees two-theta:
- d 3.749, 2θ = 23.73°, I 39, hkl 0 0 3
- d 3.377, 2θ = 26.39°, I 25, hkl 2 0 2
- d 3.071, 2θ = 29.07°, I 100, hkl 3 -1 1
- d 2.972, 2θ = 30.07°, I 41, hkl 2 -1 3
- d 2.776, 2θ = 32.24°, I 69, hkl 1 2 2
- d 2.163, 2θ = 41.77°, I 20, hkl 4 -1 2
- d 2.110, 2θ = 42.86°, I 31, hkl 3 -1 4
- d 1.910, 2θ = 47.62°, I 15, hkl 5 -2 1
- d 1.843, 2θ = 49.45°, I 32, hkl 4 1 0
- d 1.750, 2θ = 52.29°, I 21, hkl 1 1 6

Atomic structure:
a = 9.7539 Å, b = 9.7539 Å, c = 11.2463 Å
α = 90.00°, β = 90.00°, γ = 120.00°
Space group R-3 (No. 148, hexagonal axes)
One atom of each set of equivalent atoms:
Gd1 0.0405 0.7743 0.2061 x18
In1 0.0000 0.0000 0.0000 x3
In2 0.0000 0.0000 0.5000 x3
O1 0.0282 0.8148 0.4034 x18
O2 0.0279 0.8415 0.8757 x18